Structure and calculated powder X-ray diffraction pattern of KBa2I6 (a crystal structure in Alexandria, relaxed with PBE; λ = 1.5418 Å (Cu Kα)).

Principal peaks in the range 15° ≤ 2θ ≤ 90°, in order of rising 2θ:
Position (°2θ)	I_rel
23.3	100
23.4	74
25.6	33
26.4	67
27.0	81
29.3	40
30.8	57
31.3	48
32.3	44
44.0	30

Cell and atoms:
```
KBa2I6
1.0
8.6149 0.0000 0.0000
0.0000 8.8009 0.0000
-6.4620 0.0000 11.6158
K Ba I
2 4 12
direct
0.0000 0.0000 0.0000 K
0.0000 0.5000 0.5000 K
0.3262 0.1302 0.7806 Ba
0.3262 0.3698 0.2806 Ba
0.6738 0.6302 0.7194 Ba
0.6738 0.8698 0.2194 Ba
0.0785 0.0473 0.2781 I
0.0785 0.4527 0.7781 I
0.2708 0.6575 0.0753 I
0.2708 0.8425 0.5753 I
0.3988 0.1741 0.0721 I
0.3988 0.3259 0.5721 I
0.6012 0.6741 0.4279 I
0.6012 0.8259 0.9279 I
0.7292 0.1575 0.4247 I
0.7292 0.3425 0.9247 I
0.9215 0.5473 0.2219 I
0.9215 0.9527 0.7219 I
```



Structure and calculated powder X-ray diffraction pattern of KBaMn2I8 (a crystal structure in Alexandria, relaxed with PBE; λ = 1.5418 Å (Cu Kα)).

Principal peaks in the range 15° ≤ 2θ ≤ 90°, in order of rising 2θ:
Position (°2θ)	I_rel
16.8	26
22.6	36
25.7	100
27.0	43
28.1	29
29.7	41
35.4	23
41.5	22
42.8	43
49.8	23

Cell and atoms:
```
KBaMn2I8
1.0
8.4596 0.0000 0.0000
-4.2298 7.3262 0.0000
0.0000 0.0000 10.5604
K Ba Mn I
1 1 2 8
direct
0.0000 0.0000 0.0000 K
0.0000 0.0000 0.5000 Ba
0.3333 0.6667 0.3506 Mn
0.6667 0.3333 0.6494 Mn
0.1641 0.8346 0.2543 I
0.1654 0.3295 0.2543 I
0.3295 0.1641 0.7457 I
0.3333 0.6667 0.5944 I
0.6667 0.3333 0.4056 I
0.6705 0.8359 0.2543 I
0.8346 0.6705 0.7457 I
0.8359 0.1654 0.7457 I
```



Structure and calculated powder X-ray diffraction pattern of K3Ba2IO6 (a crystal structure in Alexandria, relaxed with PBE; λ = 1.5418 Å (Cu Kα)).

Principal peaks in the range 15° ≤ 2θ ≤ 90°, in order of rising 2θ:
Position (°2θ)	I_rel
27.5	31
28.3	41
28.7	76
28.8	38
33.1	100
33.3	50
47.4	47
48.0	31
56.1	18
56.7	38

Cell and atoms:
```
K3Ba2IO6
1.0
3.2762 -5.7174 0.0000
3.2762 5.7174 0.0000
-2.1726 0.0000 6.2979
K Ba I O
3 2 1 6
direct
0.0000 0.0000 0.0000 K
0.3479 0.6521 0.0000 K
0.6521 0.3479 0.0000 K
0.1678 0.8322 0.5000 Ba
0.8322 0.1678 0.5000 Ba
0.5000 0.5000 0.5000 I
0.1630 0.4342 0.3012 O
0.2887 0.2887 0.6930 O
0.4342 0.1630 0.3012 O
0.5658 0.8370 0.6988 O
0.7113 0.7113 0.3070 O
0.8370 0.5658 0.6988 O
```



Structure and calculated powder X-ray diffraction pattern of K2Ba2IO6 (a crystal structure in Alexandria, relaxed with PBE; λ = 1.5418 Å (Cu Kα)).

Principal peaks in the range 15° ≤ 2θ ≤ 90°, in order of rising 2θ:
Position (°2θ)	I_rel
27.4	47
27.6	45
27.7	47
27.8	26
29.5	67
32.3	100
34.3	45
41.6	31
47.8	32
48.0	30

Cell and atoms:
```
K2Ba2IO6
1.0
3.3240 -5.5762 0.0000
3.3240 5.5762 0.0000
-1.5221 0.0000 6.5182
K Ba I O
2 2 1 6
direct
0.1445 0.8555 0.0000 K
0.8555 0.1445 0.0000 K
0.3380 0.6620 0.5000 Ba
0.6620 0.3380 0.5000 Ba
0.0000 0.0000 0.5000 I
0.0374 0.3023 0.6716 O
0.2032 0.2032 0.3126 O
0.3023 0.0374 0.6716 O
0.6977 0.9626 0.3284 O
0.7968 0.7968 0.6874 O
0.9626 0.6977 0.3284 O
```



Structure and calculated powder X-ray diffraction pattern of BaLa2I8 (a crystal structure in Alexandria, relaxed with PBE; λ = 1.5418 Å (Cu Kα)).

Principal peaks in the range 15° ≤ 2θ ≤ 90°, in order of rising 2θ:
Position (°2θ)	I_rel
26.0	52
28.4	100
28.5	80
28.7	51
28.8	29
30.7	52
33.3	57
34.3	37
45.8	30
57.2	29

Cell and atoms:
```
BaLa2I8
1.0
4.9962 -7.2935 0.0000
4.9962 7.2935 0.0000
-1.5556 0.0000 6.1916
Ba La I
1 2 8
direct
0.0000 0.0000 0.0000 Ba
0.3176 0.6824 0.5000 La
0.6824 0.3176 0.5000 La
0.0619 0.3248 0.5821 I
0.2437 0.7563 0.0000 I
0.3248 0.0619 0.5821 I
0.3822 0.3822 0.1966 I
0.6178 0.6178 0.8034 I
0.6752 0.9381 0.4179 I
0.7563 0.2437 0.0000 I
0.9381 0.6752 0.4179 I
```



Structure and calculated powder X-ray diffraction pattern of BaLaPI (a crystal structure in Alexandria, relaxed with PBE; λ = 1.5418 Å (Cu Kα)).

Principal peaks in the range 15° ≤ 2θ ≤ 90°, in order of rising 2θ:
Position (°2θ)	I_rel
23.4	30
24.2	12
27.3	52
29.3	100
32.3	17
40.7	46
43.2	23
50.9	21
52.8	24
67.1	18

Cell and atoms:
```
BaLaPI
1.0
4.4369 0.0000 0.0000
-2.2184 3.8424 0.0000
0.0000 0.0000 24.9656
Ba La P I
3 3 3 3
direct
0.0000 0.0000 0.0000 Ba
0.3333 0.6667 0.6667 Ba
0.6667 0.3333 0.3333 Ba
0.0000 0.0000 0.7982 La
0.3333 0.6667 0.4648 La
0.6667 0.3333 0.1315 La
0.0000 0.0000 0.4085 P
0.3333 0.6667 0.0751 P
0.6667 0.3333 0.7418 P
0.0000 0.0000 0.2244 I
0.3333 0.6667 0.8911 I
0.6667 0.3333 0.5577 I
```



Structure and calculated powder X-ray diffraction pattern of Ba2LiI5 (a crystal structure in Alexandria, relaxed with PBE; λ = 1.5418 Å (Cu Kα)).

Principal peaks in the range 15° ≤ 2θ ≤ 90°, in order of rising 2θ:
Position (°2θ)	I_rel
18.8	47
20.1	31
22.1	37
23.1	41
25.2	32
25.9	33
27.4	100
29.1	57
31.1	99
32.4	59

Cell and atoms:
```
Ba2LiI5
1.0
14.2215 0.0000 0.0000
0.0000 10.6425 0.0000
-1.0949 0.0000 10.2803
Ba Li I
8 4 20
direct
0.0357 0.1197 0.2532 Ba
0.0357 0.3803 0.7532 Ba
0.3656 0.1592 0.9725 Ba
0.3656 0.3408 0.4725 Ba
0.6344 0.6592 0.5275 Ba
0.6344 0.8408 0.0275 Ba
0.9643 0.6197 0.2468 Ba
0.9643 0.8803 0.7468 Ba
0.2997 0.6038 0.9774 Li
0.2997 0.8962 0.4774 Li
0.7003 0.1038 0.5226 Li
0.7003 0.3962 0.0226 Li
0.0926 0.6510 0.9569 I
0.0926 0.8490 0.4569 I
0.1112 0.1021 0.9153 I
0.1112 0.3979 0.4153 I
0.2780 0.0793 0.2741 I
0.2780 0.4207 0.7741 I
0.3818 0.0654 0.6560 I
0.3818 0.4346 0.1560 I
0.3912 0.6690 0.4968 I
0.3912 0.8310 0.9968 I
0.6088 0.1690 0.0032 I
0.6088 0.3310 0.5032 I
0.6182 0.5654 0.8440 I
0.6182 0.9346 0.3440 I
0.7220 0.5793 0.2259 I
0.7220 0.9207 0.7259 I
0.8888 0.6021 0.5847 I
0.8888 0.8979 0.0847 I
0.9074 0.1510 0.5431 I
0.9074 0.3490 0.0431 I
```



Structure and calculated powder X-ray diffraction pattern of BaLiTl2I5 (a crystal structure in Alexandria, relaxed with PBE; λ = 1.5418 Å (Cu Kα)).

Principal peaks in the range 15° ≤ 2θ ≤ 90°, in order of rising 2θ:
Position (°2θ)	I_rel
24.4	20
25.6	100
26.1	32
27.9	20
28.3	18
30.4	50
36.6	28
36.8	16
40.3	15
45.5	14

Cell and atoms:
```
BaLiTl2I5
1.0
2.4545 -10.5059 0.0000
2.4545 10.5059 0.0000
0.0000 0.0000 15.2097
Ba Li Tl I
2 2 4 10
direct
0.1955 0.8045 0.5000 Ba
0.8045 0.1955 0.0000 Ba
0.4488 0.5512 0.8788 Li
0.5512 0.4488 0.3788 Li
0.0938 0.9062 0.1282 Tl
0.1146 0.8854 0.8034 Tl
0.8854 0.1146 0.3034 Tl
0.9062 0.0938 0.6282 Tl
0.0296 0.9704 0.4672 I
0.2900 0.7100 0.1567 I
0.3184 0.6816 0.8415 I
0.3582 0.6418 0.4712 I
0.4918 0.5082 0.2197 I
0.5082 0.4918 0.7197 I
0.6418 0.3582 0.9712 I
0.6816 0.3184 0.3415 I
0.7100 0.2900 0.6567 I
0.9704 0.0296 0.9672 I
```



Structure and calculated powder X-ray diffraction pattern of BaLiTlI4 (a crystal structure in Alexandria, relaxed with PBE; λ = 1.5418 Å (Cu Kα)).

Principal peaks in the range 15° ≤ 2θ ≤ 90°, in order of rising 2θ:
Position (°2θ)	I_rel
15.9	35
24.9	60
25.4	49
25.5	47
27.8	79
29.4	100
37.0	29
37.3	31
42.3	25
52.2	29

Cell and atoms:
```
BaLiTlI4
1.0
8.0158 0.0000 0.0000
0.0000 8.1028 0.0000
-2.9372 0.0000 9.1881
Ba Li Tl I
2 2 2 8
direct
0.2268 0.2500 0.0567 Ba
0.7732 0.7500 0.9433 Ba
0.2319 0.7500 0.8023 Li
0.7681 0.2500 0.1977 Li
0.2590 0.2500 0.5603 Tl
0.7410 0.7500 0.4397 Tl
0.0051 0.5033 0.2432 I
0.0051 0.9967 0.2432 I
0.4285 0.7500 0.0923 I
0.4341 0.7500 0.6214 I
0.5659 0.2500 0.3786 I
0.5715 0.2500 0.9077 I
0.9949 0.0033 0.7568 I
0.9949 0.4967 0.7568 I
```



Structure and calculated powder X-ray diffraction pattern of BaNa2MnI6 (a crystal structure in Alexandria, relaxed with PBE; λ = 1.5418 Å (Cu Kα)).

Principal peaks in the range 15° ≤ 2θ ≤ 90°, in order of rising 2θ:
Position (°2θ)	I_rel
15.0	21
24.4	13
25.2	100
33.1	42
37.8	10
38.7	31
43.4	21
46.7	12
51.8	10
64.9	9

Cell and atoms:
```
BaNa2MnI6
1.0
4.0341 2.3291 7.3086
-4.0341 2.3291 7.3086
0.0000 -4.6582 7.3086
Ba Na Mn I
1 2 1 6
direct
0.0000 0.0000 0.0000 Ba
0.1915 0.1915 0.1915 Na
0.7004 0.7004 0.7004 Na
0.5072 0.5072 0.5072 Mn
0.1360 0.4200 0.7510 I
0.3122 0.8856 0.5747 I
0.4200 0.7510 0.1360 I
0.5747 0.3122 0.8856 I
0.7510 0.1360 0.4200 I
0.8856 0.5747 0.3122 I
```



Structure and calculated powder X-ray diffraction pattern of BaMnSn2I8 (a crystal structure in Alexandria, relaxed with PBE; λ = 1.5418 Å (Cu Kα)).

Principal peaks in the range 15° ≤ 2θ ≤ 90°, in order of rising 2θ:
Position (°2θ)	I_rel
16.6	41
17.1	39
25.0	100
25.3	71
26.0	45
26.6	57
32.9	56
33.4	61
37.5	34
40.0	69

Cell and atoms:
```
BaMnSn2I8
1.0
7.2386 0.0000 0.0000
0.0000 9.5825 0.0000
-0.2004 0.0000 7.6557
Ba Mn Sn I
1 1 2 8
direct
0.0000 0.0000 0.0000 Ba
0.0000 0.5000 0.0000 Mn
0.5000 0.2691 0.5000 Sn
0.5000 0.7309 0.5000 Sn
0.2341 0.2894 0.1549 I
0.2341 0.7106 0.1549 I
0.2438 0.5000 0.6738 I
0.2737 0.0000 0.6404 I
0.7263 0.0000 0.3596 I
0.7562 0.5000 0.3262 I
0.7659 0.2894 0.8451 I
0.7659 0.7106 0.8451 I
```



Structure and calculated powder X-ray diffraction pattern of Ba2IN (a crystal structure in Alexandria, relaxed with PBE; λ = 1.5418 Å (Cu Kα)).

Principal peaks in the range 15° ≤ 2θ ≤ 90°, in order of rising 2θ:
Position (°2θ)	I_rel
23.5	52
24.3	38
26.5	91
29.7	81
31.3	34
32.1	48
34.1	100
40.0	24
42.8	27
54.1	42

Cell and atoms:
```
Ba2IN
1.0
4.2212 0.0000 0.0000
0.0000 7.3177 0.0000
0.0000 0.0000 8.5832
Ba I N
4 2 2
direct
0.2500 0.0162 0.1737 Ba
0.2500 0.4838 0.1737 Ba
0.7500 0.5162 0.8263 Ba
0.7500 0.9838 0.8263 Ba
0.2500 0.2500 0.5660 I
0.7500 0.7500 0.4340 I
0.2500 0.7500 0.9517 N
0.7500 0.2500 0.0483 N
```